Structure and calculated XRD peak list of Mg6CrFeO8 (DFT lattice parameters and positions (GGA+U); Cu Ka).
Peak positions follow from Bragg's law for the DFT cell and can differ from measured ones.

Atomic structure:
Cell: 4.3629 4.3629 8.4175 Å, 90.00 90.00 90.00°
Sites, in units of the cell vectors:
Mg 0.0000 0.0000 0.0000
Mg 0.0000 0.5000 0.2510
Mg 0.0000 0.5000 0.7490
Mg 0.5000 0.0000 0.2510
Mg 0.5000 0.0000 0.7490
Mg 0.5000 0.5000 0.0000
Cr 0.0000 0.0000 0.5000
Fe 0.5000 0.5000 0.5000
O 0.0000 0.0000 0.2487
O 0.0000 0.0000 0.7513
O 0.0000 0.5000 0.0000
O 0.0000 0.5000 0.5000
O 0.5000 0.0000 0.0000
O 0.5000 0.0000 0.5000
O 0.5000 0.5000 0.2470
O 0.5000 0.5000 0.7530

The 12 most intense peaks (10 to 80 degrees two-theta), low angle first:
- (0 0 1), 10.51°, rel. 35
- (0 0 2), 21.11°, rel. 7
- (1 1 0), 28.94°, rel. 7
- (1 1 1), 30.87°, rel. 11
- (1 1 2), 36.10°, rel. 35
- (2 0 0), 41.39°, rel. 100
- (0 0 4), 42.98°, rel. 44
- (2 2 0), 59.97°, rel. 28
- (2 0 4), 61.20°, rel. 53
- (3 1 2), 72.03°, rel. 12
- (1 1 6), 74.27°, rel. 5
- (2 2 4), 76.58°, rel. 25